Diffraction record for NdGaPt. The powder diffractogram is calculated, not measured: it uses a DFT-relaxed cell (GGA-PBE, the Materials Project) and CuKα.

Cell and atoms:
```
NdGaPt
1.0
7.1603 0.0000 0.0000
0.0000 4.5220 0.0000
0.0000 0.0000 7.9041
Nd Ga Pt
4 4 4
Cartesian
0.1902 1.1305 1.4718
3.3899 3.3915 5.4239
3.7704 1.1305 2.4802
6.9701 3.3915 6.4323
1.0952 1.1305 4.4809
2.4850 3.3915 0.5288
4.6753 1.1305 7.3753
6.0652 3.3915 3.4233
1.5730 3.3915 3.0727
2.0072 1.1305 7.0248
5.1531 3.3915 0.8794
5.5873 1.1305 4.8314
```

Most intense lines, 2θ = 10–80°, most intense first:
| index | d [Å] | intensity |
| --- | --- | --- |
| 2 1 1 | 2.645 | 100 |
| 1 1 2 | 2.748 | 51 |
| 0 1 3 | 2.276 | 43 |
| 0 2 0 | 2.261 | 43 |
| 1 1 1 | 3.442 | 30 |
| 3 0 2 | 2.042 | 29 |
| 1 0 2 | 3.460 | 24 |
| 3 0 1 | 2.285 | 20 |
| 1 1 3 | 2.169 | 17 |
| 2 0 2 | 2.653 | 16 |